LiNdCd3: theoretical powder X-ray diffraction pattern (λ = 1.5418 Å (Cu Kα)), based on a PBE-relaxed structure.
Intensities are scaled so that the largest is 100.

Cell and atoms:
Cell lengths 6.9048, 6.9048, 5.6159 Å; angles 90.00, 90.00, 120.00 degrees
Space group P6_3/mmc (No. 194)
Unique sites:
Li1 0.0000 0.0000 0.0000 x2
Nd1 0.3333 0.6667 0.2500 x2
Cd1 0.1876 0.3752 0.7500 x6

Most intense lines, 5 to 70 degrees two-theta, in order of rising 2θ:
14.81°, d 5.980, intensity 8, hkl 1 0 0; 29.88°, d 2.990, intensity 23, hkl 2 0 0; 31.87°, d 2.808, intensity 29, hkl 0 0 2; 33.97°, d 2.639, intensity 100, hkl 2 0 1; 44.25°, d 2.047, intensity 17, hkl 2 0 2; 48.46°, d 1.878, intensity 6, hkl 3 0 1; 53.05°, d 1.726, intensity 15, hkl 2 2 0; 58.14°, d 1.587, intensity 20, hkl 2 0 3; 63.23°, d 1.471, intensity 17, hkl 2 2 2; 64.50°, d 1.445, intensity 12, hkl 4 0 1